AcFeIO2: simulated powder X-ray diffraction pattern (copper Kα), based on DFT lattice parameters and positions (PBE+U).
Neutral-atom scattering factors, no anomalous dispersion.

Atomic structure:
abc: 5.9754 4.1149 10.9730
angles: 90.00 94.25 90.00
Space group P2_1/m (No. 11)
Asymmetric unit:
1 Ac 0.2376 0.2500 0.4127
2 Fe 0.2702 0.2500 0.7171
3 I 0.2328 0.7500 0.8796
4 O 0.0120 0.2500 0.5984
5 O 0.4915 0.7500 0.3946

The 6 most intense peaks (10 to 80 degrees two-theta), by intensity:
2theta  I (rel.)  (hkl)
27.24  100  1 1 -1
32.80  86  0 1 3
22.87  75  1 0 2
21.22  71  1 0 -2
27.91  65  1 1 1
29.99  51  2 0 0